For Ba3SrCa4, a crystal structure in Alexandria, relaxed with GGA-PBE gives the theoretical powder diffraction line list in this record (Cu Kα).
Kinematic intensities with the Lorentz-polarization factor, no thermal factor.

Largest 10 diffraction maxima, sorted by position, 10 to 80 degrees two-theta:
2θ 15.8, I = 17.7
2θ 20.7, I = 19.3
2θ 26.2, I = 100.0
2θ 29.4, I = 36.9
2θ 32.0, I = 14.7
2θ 42.1, I = 13.5
2θ 44.0, I = 23.6
2θ 50.3, I = 31.7
2θ 53.5, I = 13.1
2θ 53.8, I = 12.8

```
Ba3SrCa4
1.0
-3.034 3.034 11.203
3.034 -3.034 11.203
3.034 3.034 -11.203
Ba Sr Ca
3 1 4
direct
0.000 0.000 0.000
0.251 0.251 0.000
0.749 0.749 0.000
0.500 0.500 0.000
0.123 0.623 0.500
0.377 0.877 0.500
0.623 0.123 0.500
0.877 0.377 0.500
```